For Dy2ZnRu, the GGA-PBE geometry in the Materials Project gives the theoretical X-ray powder pattern in this record (a wavelength of 1.5418 Å).
Lines closer than 0.1° are merged.

abc: 6.954 6.954 6.954
angles: 90.00 90.00 90.00
Space group Fm-3m (No. 225)
Asymmetric unit:
Dy  0.250  0.250  0.250
Zn  0.000  0.000  0.000
Ru  0.000  0.000  0.500

Top 8 peaks for 2θ from 5° to 70°, most intense first:
36.5°, rel. 1000, hkl 2 2 0; 65.8°, rel. 353, hkl 4 2 2; 52.6°, rel. 174, hkl 4 0 0; 25.6°, rel. 106, hkl 2 0 0; 59.4°, rel. 45, hkl 4 2 0; 45.2°, rel. 33, hkl 2 2 2; 22.1°, rel. 11, hkl 1 1 1; 43.1°, rel. 5, hkl 3 1 1

For SmGaSb2, the GGA-PBE geometry in the Materials Project gives the theoretical X-ray powder pattern in this record (a wavelength of 1.5418 Å).
Lines closer than 0.1° are merged.

abc: 4.335 22.450 4.373
angles: 90.00 90.00 90.00
Space group C222_1 (No. 20)
Asymmetric unit:
Sm  0.000  0.137  0.250
Ga  0.158  0.000  0.000
Sb  0.000  0.250  0.750
Sb  0.000  0.408  0.250

Top 10 peaks for 2θ from 5° to 70°, most intense first:
31.4°, rel. 1000, hkl 1 3 1; 35.3°, rel. 375, hkl 1 5 1; 34.8°, rel. 229, hkl 1 7 0; 31.9°, rel. 207, hkl 0 8 0; 69.7°, rel. 154, hkl 3 3 1; 48.2°, rel. 139, hkl 0 6 2; 41.7°, rel. 137, hkl 2 0 0; 25.8°, rel. 134, hkl 0 4 1; 60.1°, rel. 134, hkl 2 0 2; 38.1°, rel. 117, hkl 0 8 1

For NaSmHf2O6, the GGA-PBE geometry in the Materials Project gives the theoretical X-ray powder pattern in this record (a wavelength of 1.5418 Å).
Lines closer than 0.1° are merged.

abc: 8.184 8.184 8.184
angles: 90.00 90.00 90.00
Space group Fm-3m (No. 225)
Asymmetric unit:
Na  0.000  0.000  0.000
Sm  0.000  0.000  0.500
Hf  0.250  0.250  0.250
O  0.000  0.250  0.250

Top 10 peaks for 2θ from 5° to 70°, most intense first:
30.9°, rel. 1000, hkl 2 2 0; 55.0°, rel. 408, hkl 4 2 2; 44.3°, rel. 297, hkl 4 0 0; 21.7°, rel. 225, hkl 2 0 0; 64.4°, rel. 185, hkl 4 4 0; 18.8°, rel. 146, hkl 1 1 1; 49.8°, rel. 96, hkl 4 2 0; 36.4°, rel. 84, hkl 3 1 1; 68.8°, rel. 45, hkl 6 0 0; 48.5°, rel. 38, hkl 3 3 1

For MgF2, the GGA-PBE geometry in the Materials Project gives the theoretical X-ray powder pattern in this record (a wavelength of 1.5418 Å).
Lines closer than 0.1° are merged.

abc: 3.916 6.597 8.576
angles: 90.00 90.00 90.00
Space group Imma (No. 74)
Asymmetric unit:
Mg  0.000  0.250  0.105
F  0.000  0.000  0.000
F  0.000  0.250  0.341

Top 10 peaks for 2θ from 5° to 70°, most intense first:
17.0°, rel. 1000, hkl 0 1 1; 25.0°, rel. 309, hkl 1 0 1; 50.8°, rel. 127, hkl 0 2 4; 46.4°, rel. 122, hkl 2 0 0; 34.2°, rel. 106, hkl 0 1 3; 20.7°, rel. 97, hkl 0 0 2; 49.7°, rel. 95, hkl 2 1 1; 27.0°, rel. 94, hkl 0 2 0; 65.8°, rel. 88, hkl 1 2 5; 39.0°, rel. 84, hkl 1 0 3